1.
Simulated powder X-ray diffraction pattern
Compound: MgMn2Zn2O12
Radiation: a wavelength of 1.5418 Å
Structure: DFT lattice parameters and positions (GGA+U)
Peak positions follow from Bragg's law for the DFT cell and can differ from measured ones.

Cell and atoms:
```
data_MgMn2Zn2O12
_space_group_name_H-M_alt 'C 1 2 1'
_space_group_IT_number 5
_cell_length_a 15.3111
_cell_length_b 6.1851
_cell_length_c 5.1585
_cell_angle_alpha 90.00
_cell_angle_beta 95.78
_cell_angle_gamma 90.00
loop_
_space_group_symop_operation_xyz
'x,y,z'
'-x,y,-z'
'x+1/2,y+1/2,z'
'-x+1/2,y+1/2,-z'
loop_
_atom_site_label
_atom_site_fract_x
_atom_site_fract_y
_atom_site_fract_z
Mg1 0.0000 0.0000 0.0000
Mn1 0.0000 0.2833 0.5000
Mn2 0.0000 0.5102 0.0000
Zn1 0.1052 0.7052 0.5868
O1 0.0409 0.9843 0.4307
O2 0.0611 0.2763 0.8409
O3 0.0707 0.4833 0.3422
O4 0.0787 0.7415 0.9270
O5 0.2280 0.2644 0.6885
O6 0.2478 0.2243 0.4651
```

Top 10 peaks for 2θ from 10° to 90°, in order of rising 2θ:
d [Å]	2theta	I_rel
7.617	11.6	100
5.731	15.5	21
5.132	17.3	20
3.925	22.7	10
3.007	29.7	16
2.733	32.8	20
2.649	33.8	13
2.566	35.0	8
2.543	35.3	11
2.509	35.8	21

2.
Simulated powder X-ray diffraction pattern
Compound: LiMnP3O9
Radiation: a wavelength of 1.5418 Å
Structure: DFT lattice parameters and positions (GGA+U)
Peak positions follow from Bragg's law for the DFT cell and can differ from measured ones.

Cell and atoms:
```
data_LiMnP3O9
_space_group_name_H-M_alt 'P -1'
_space_group_IT_number 2
_cell_length_a 6.6642
_cell_length_b 6.8539
_cell_length_c 7.3893
_cell_angle_alpha 84.62
_cell_angle_beta 82.16
_cell_angle_gamma 82.90
loop_
_space_group_symop_operation_xyz
'x,y,z'
'-x,-y,-z'
loop_
_atom_site_label
_atom_site_fract_x
_atom_site_fract_y
_atom_site_fract_z
Li1 0.0399 0.1609 0.1775
Mn1 0.4589 0.7805 0.8701
P1 0.1051 0.6147 0.2101
P2 0.2920 0.8463 0.4529
P3 0.3526 0.2986 0.7775
O1 0.1350 0.3583 0.7168
O2 0.1499 0.7657 0.0514
O3 0.1675 0.4005 0.1874
O4 0.1796 0.6708 0.3959
O5 0.2456 0.8500 0.6585
O6 0.2561 0.0288 0.3287
O7 0.3589 0.1203 0.9163
O8 0.4423 0.4698 0.8350
O9 0.4692 0.2400 0.5809
```

Top 10 peaks for 2θ from 10° to 90°, in order of rising 2θ:
d [Å]	2theta	I_rel
6.560	13.5	88
4.784	18.5	47
4.470	19.9	51
3.859	23.0	25
3.390	26.3	53
3.192	28.0	86
3.165	28.2	85
3.113	28.7	58
2.860	31.3	100
2.609	34.4	28

3.
Simulated powder X-ray diffraction pattern
Compound: VAg2PO6
Radiation: a wavelength of 1.5418 Å
Structure: DFT lattice parameters and positions (GGA+U)
Peak positions follow from Bragg's law for the DFT cell and can differ from measured ones.

Cell and atoms:
```
data_VAg2PO6
_space_group_name_H-M_alt 'C 1 2/m 1'
_space_group_IT_number 12
_cell_length_a 12.6059
_cell_length_b 6.3493
_cell_length_c 6.4346
_cell_angle_alpha 90.00
_cell_angle_beta 90.03
_cell_angle_gamma 90.00
loop_
_space_group_symop_operation_xyz
'x,y,z'
'-x,-y,-z'
'-x,y,-z'
'x,-y,z'
'x+1/2,y+1/2,z'
'-x+1/2,-y+1/2,-z'
'-x+1/2,y+1/2,-z'
'x+1/2,-y+1/2,z'
loop_
_atom_site_label
_atom_site_fract_x
_atom_site_fract_y
_atom_site_fract_z
V1 0.1148 0.0000 0.4135
Ag1 0.1199 0.2558 0.8813
P1 0.1534 0.5000 0.3493
O1 0.0101 0.0000 0.7031
O2 0.0985 0.5000 0.1350
O3 0.1187 0.3035 0.4765
O4 0.1989 0.0000 0.2142
O5 0.2231 0.0000 0.6738
```

Top 10 peaks for 2θ from 10° to 90°, in order of rising 2θ:
d [Å]	2theta	I_rel
4.502	19.7	26
3.151	28.3	79
2.865	31.2	100
2.847	31.4	49
2.595	34.6	87
2.237	40.3	24
2.127	42.5	36
2.113	42.8	33
1.759	52.0	25
1.711	53.6	27

4.
Simulated powder X-ray diffraction pattern
Compound: K2Mo6H2Cl14O
Radiation: a wavelength of 1.5418 Å
Structure: DFT lattice parameters and positions (GGA+U)
Peak positions follow from Bragg's law for the DFT cell and can differ from measured ones.

Cell and atoms:
```
data_K2Mo6H2Cl14O
_space_group_name_H-M_alt 'C 1 c 1'
_space_group_IT_number 9
_cell_length_a 20.9098
_cell_length_b 16.2433
_cell_length_c 9.6489
_cell_angle_alpha 90.00
_cell_angle_beta 114.27
_cell_angle_gamma 90.00
loop_
_space_group_symop_operation_xyz
'x,y,z'
'x,-y,z+1/2'
'x+1/2,y+1/2,z'
'x+1/2,-y+1/2,z+1/2'
loop_
_atom_site_label
_atom_site_fract_x
_atom_site_fract_y
_atom_site_fract_z
K1 0.0000 0.0499 0.0000
K2 0.4985 0.0564 0.7152
Mo1 0.1477 0.3201 0.7515
Mo2 0.1813 0.1209 0.8944
Mo3 0.1883 0.2851 0.1291
Mo4 0.2973 0.2089 0.7795
Mo5 0.3114 0.3650 0.0285
Mo6 0.3398 0.1758 0.1514
H1 0.0347 0.2089 0.2447
H2 0.4534 0.2875 0.6791
Cl1 0.0546 0.4104 0.5741
Cl2 0.0777 0.2598 0.8936
Cl3 0.0992 0.0046 0.8339
Cl4 0.1307 0.3138 0.3006
Cl5 0.1522 0.1617 0.6250
Cl6 0.2073 0.4433 0.0050
Cl7 0.2414 0.1028 0.1838
Cl8 0.2693 0.3669 0.7387
Cl9 0.3253 0.3073 0.2904
Cl10 0.3345 0.0789 0.9458
Cl11 0.3672 0.1849 0.6313
Cl12 0.3891 0.4830 0.1193
Cl13 0.4149 0.2716 0.0747
Cl14 0.4344 0.1015 0.3476
O1 0.4927 0.3241 0.6899
```

Top 10 peaks for 2θ from 10° to 90°, in order of rising 2θ:
d [Å]	2theta	I_rel
8.286	10.7	100
8.122	10.9	33
6.406	13.8	17
6.182	14.3	25
6.111	14.5	15
4.185	21.2	15
2.923	30.6	27
2.893	30.9	14
2.673	33.5	20
2.261	39.9	19

5.
Simulated powder X-ray diffraction pattern
Compound: Ca2Cr3O8
Radiation: a wavelength of 1.5418 Å
Structure: DFT lattice parameters and positions (GGA+U)
Peak positions follow from Bragg's law for the DFT cell and can differ from measured ones.

Cell and atoms:
```
data_Ca2Cr3O8
_space_group_name_H-M_alt 'P 63 m c'
_space_group_IT_number 186
_space_group_name_Hall 'P 6c -2c'
_cell_length_a 6.0136
_cell_length_b 6.0136
_cell_length_c 10.5621
_cell_angle_alpha 90.00
_cell_angle_beta 90.00
_cell_angle_gamma 120.00
loop_
_atom_site_label
_atom_site_fract_x
_atom_site_fract_y
_atom_site_fract_z
Ca1 0.3333 0.6667 0.0000
Ca2 0.3333 0.6667 0.4077
Cr1 0.1637 0.3274 0.7224
O1 0.0000 0.0000 0.3224
O2 0.0471 0.5235 0.8238
O3 0.1553 0.3107 0.1346
O4 0.3333 0.6667 0.6206
```

Top 10 peaks for 2θ from 10° to 90°, in order of rising 2θ:
d [Å]	2theta	I_rel
5.281	16.8	100
3.708	24.0	59
2.917	30.7	52
2.613	34.3	72
2.528	35.5	56
2.094	43.2	33
1.854	49.1	29
1.718	53.3	28
1.640	56.1	61
1.503	61.7	42

6.
Simulated powder X-ray diffraction pattern
Compound: CaLaMnFeO6
Radiation: a wavelength of 1.5418 Å
Structure: DFT lattice parameters and positions (GGA+U)
Peak positions follow from Bragg's law for the DFT cell and can differ from measured ones.

Cell and atoms:
```
data_CaLaMnFeO6
_space_group_name_H-M_alt 'P 1 c 1'
_space_group_IT_number 7
_cell_length_a 5.5183
_cell_length_b 5.4760
_cell_length_c 9.4684
_cell_angle_alpha 90.00
_cell_angle_beta 125.41
_cell_angle_gamma 90.00
loop_
_space_group_symop_operation_xyz
'x,y,z'
'x,-y,z+1/2'
loop_
_atom_site_label
_atom_site_fract_x
_atom_site_fract_y
_atom_site_fract_z
Ca1 0.0000 0.2390 0.0000
La1 0.4805 0.2579 0.4990
Mn1 0.2380 0.2500 0.7499
Fe1 0.7373 0.2501 0.2488
O1 0.0244 0.4849 0.7934
O2 0.0406 0.0031 0.2921
O3 0.4275 0.4920 0.2059
O4 0.4451 0.0093 0.7062
O5 0.5660 0.2540 0.9948
O6 0.9168 0.2451 0.5038
```

Top 10 peaks for 2θ from 10° to 90°, in order of rising 2θ:
d [Å]	2theta	I_rel
4.489	19.8	17
4.466	19.9	17
2.759	32.4	18
2.738	32.7	100
2.337	38.5	9
1.943	46.7	28
1.929	47.1	12
1.586	58.2	13
1.581	58.4	15
1.577	58.5	13